# 1
This entry pairs a crystal structure of MgZnS2 with its simulated powder diffraction line list. Radiation: copper Kα. Structure: the GGA-PBE geometry in Alexandria.

Atomic structure:
a b c (Å): 7.531 7.531 6.841
angles (deg): 116.95 116.95 30.36
Fractional positions:
Mg (0.000, 0.000, 0.000)
Mg (0.245, 0.245, 0.908)
Zn (0.494, 0.494, 0.492)
Zn (0.748, 0.748, 0.417)
S (0.054, 0.054, 0.710)
S (0.308, 0.308, 0.313)
S (0.563, 0.563, 0.239)
S (0.809, 0.809, 0.802)

Principal peaks in the range 2θ = 10–80°, by intensity:
3.418 Å, rel. 100
1.973 Å, rel. 77
1.813 Å, rel. 74
3.017 Å, rel. 73
3.209 Å, rel. 58
1.681 Å, rel. 47
6.039 Å, rel. 45
2.339 Å, rel. 35
1.202 Å, rel. 18
1.335 Å, rel. 17

***

# 2
This entry pairs a crystal structure of SmTmH4 with its simulated powder diffraction line list. Radiation: copper Kα. Structure: the GGA-PBE geometry in Alexandria.

Atomic structure:
a b c (Å): 6.402 6.402 6.402
angles (deg): 131.96 131.96 70.29
Fractional positions:
Sm (0.375, 0.625, 0.750)
Sm (0.625, 0.375, 0.250)
Tm (0.125, 0.875, 0.250)
Tm (0.875, 0.125, 0.750)
H (0.000, 0.236, 0.236)
H (0.000, 0.764, 0.764)
H (0.236, 0.000, 0.736)
H (0.236, 0.500, 0.236)
H (0.500, 0.236, 0.736)
H (0.500, 0.764, 0.264)
H (0.764, 0.000, 0.264)
H (0.764, 0.500, 0.764)

Principal peaks in the range 2θ = 10–80°, by intensity:
3.013 Å, rel. 100
2.606 Å, rel. 33
1.572 Å, rel. 29
1.847 Å, rel. 25
2.618 Å, rel. 16
1.577 Å, rel. 15
1.843 Å, rel. 12
1.507 Å, rel. 12
1.303 Å, rel. 4
1.309 Å, rel. 2

***

What did the second record say?
This entry pairs a crystal structure of SmTmH4 with its simulated powder diffraction line list. Radiation: copper Kα. Structure: the GGA-PBE geometry in Alexandria.

Atomic structure:
a b c (Å): 6.402 6.402 6.402
angles (deg): 131.96 131.96 70.29
Fractional positions:
Sm (0.375, 0.625, 0.750)
Sm (0.625, 0.375, 0.250)
Tm (0.125, 0.875, 0.250)
Tm (0.875, 0.125, 0.750)
H (0.000, 0.236, 0.236)
H (0.000, 0.764, 0.764)
H (0.236, 0.000, 0.736)
H (0.236, 0.500, 0.236)
H (0.500, 0.236, 0.736)
H (0.500, 0.764, 0.264)
H (0.764, 0.000, 0.264)
H (0.764, 0.500, 0.764)

Principal peaks in the range 2θ = 10–80°, by intensity:
3.013 Å, rel. 100
2.606 Å, rel. 33
1.572 Å, rel. 29
1.847 Å, rel. 25
2.618 Å, rel. 16
1.577 Å, rel. 15
1.843 Å, rel. 12
1.507 Å, rel. 12
1.303 Å, rel. 4
1.309 Å, rel. 2

***

Q: Which formula does entry 2 have?
A: SmTmH4